Simulated powder diffractogram of CaTlMo2O8 for Cu Kα, 1.54184 Å, from a PBE+U-relaxed structure.

Crystal structure
abc: 6.3484 6.3484 6.3484
angles: 106.83 106.83 114.90
Element x y z (fractional)
Ca (0.0000, 0.0000, 0.0000)
Tl (0.7500, 0.2500, 0.5000)
Mo (0.2500, 0.7500, 0.5000)
Mo (0.5000, 0.5000, 0.0000)
O (0.0929, 0.4017, 0.3088)
O (0.0929, 0.7842, 0.6912)
O (0.1493, 0.3328, 0.8165)
O (0.2158, 0.9071, 0.3088)
O (0.5163, 0.3328, 0.1835)
O (0.5983, 0.9071, 0.6912)
O (0.6672, 0.4837, 0.8165)
O (0.6672, 0.8507, 0.1835)

Largest 6 diffraction maxima, in order of rising 2θ, 2θ = 5–70°:
- 16.57 deg, rel. 23
- 17.49 deg, rel. 22
- 23.51 deg, rel. 100
- 31.06 deg, rel. 80
- 33.49 deg, rel. 22
- 46.32 deg, rel. 62